Diffraction record for Li3VSiO5. The XRD peak list is theoretical, not measured: it uses the GGA+U geometry in Alexandria and Cu Kα X-rays.

Most intense lines, 2θ = 15–90°, sorted by position:
2θ/deg, d (Å), I_rel, index
18.37, 4.829, 100, 1 0 0
21.45, 4.142, 55, 1 0 1
29.94, 2.984, 29, 0 0 2
33.85, 2.648, 12, 1 2 0
42.66, 2.119, 54, -1 2 1
44.31, 2.044, 48, 2 2 0
46.06, 1.971, 43, 1 0 3
62.42, 1.488, 16, 3 0 -1
63.95, 1.456, 13, 1 4 1
66.55, 1.405, 13, 1 2 -3

Cell: 5.0848 5.8271 6.2707 Å, 75.50 76.38 74.99°
Fractional coordinates of all 20 atoms:
Li  0.0192  0.2359  0.4896
Li  0.1775  0.0491  0.1093
Li  0.1957  0.5392  0.1015
Li  0.8043  0.4608  0.8985
Li  0.8225  0.9509  0.8907
Li  0.9808  0.7641  0.5104
V  0.4024  0.3406  0.7186
V  0.5976  0.6594  0.2814
Si  0.3958  0.8481  0.7123
Si  0.6042  0.1519  0.2877
O  0.1438  0.6683  0.7840
O  0.1504  0.1139  0.7821
O  0.3387  0.9581  0.4071
O  0.3466  0.4156  0.3911
O  0.4993  0.2427  0.0249
O  0.5007  0.7573  0.9751
O  0.6534  0.5844  0.6089
O  0.6613  0.0419  0.5929
O  0.8496  0.8861  0.2179
O  0.8562  0.3317  0.2160